Ce2SnHgIr: computed powder diffractogram (Cu Kα (λ = 1.5418 Å)), based on a structure optimized by DFT (PBE).

Top 12 peaks for 5 to 70 degrees two-theta, sorted by position:
2θ (°)  d_spacing  intensity  h k l
13.24  6.686  16  0 0 1
23.42  3.799  18  0 2 0
32.76  2.733  97  1 2 1
34.62  2.591  100  1 1 2
36.92  2.435  45  2 0 0
38.00  2.368  16  0 3 1
40.14  2.247  13  1 3 0
47.90  1.899  13  0 4 0
54.89  1.673  20  0 3 3
63.90  1.457  14  3 2 1
65.04  1.434  16  3 1 2
68.00  1.379  22  2 3 3

Atomic structure:
a b c (Å): 4.870 7.597 6.686
angles (deg): 90.00 90.00 90.00
Space group Pmmn (No. 59, origin choice 2)
Unique sites:
Ce 0.250 0.049 0.212 (multiplicity 4)
Sn 0.250 0.750 0.566 (multiplicity 2)
Hg 0.250 0.250 0.748 (multiplicity 2)
Ir 0.250 0.750 0.980 (multiplicity 2)